Computed PXRD pattern of Sc4Re5 for Cu Kα, 1.54184 Å, from a structure optimized by DFT (PBE).
No peak broadening, texture or thermal motion is included.

Atomic structure:
```
Sc4Re5
1.0
-4.930 4.930 1.587
4.930 -4.930 1.587
4.930 4.930 -1.587
Sc Re
4 5
direct
0.000 0.312 0.312
0.000 0.688 0.688
0.312 0.000 0.312
0.688 0.000 0.688
0.000 0.000 0.000
0.333 0.333 0.666
0.333 0.667 0.000
0.667 0.333 0.000
0.667 0.667 0.334
```

The 6 most intense peaks (2θ from 10° to 90°), sorted by position:
12.7 deg, intensity 55; 34.8 deg, intensity 17; 38.7 deg, intensity 52; 39.5 deg, intensity 100; 56.0 deg, intensity 17; 70.6 deg, intensity 34